# PaZnBO5
Computed X-ray diffraction stick pattern, Cu Kα, 1.54184 Å. Input: the GGA-PBE geometry in Alexandria.

Main lines, in order of rising 2θ (10° ≤ 2θ ≤ 90°):
| Position (°2θ) | d (Å) | I/Imax | hkl |
| --- | --- | --- | --- |
| 21.1 | 4.210 | 56 | 1 1 -1 |
| 22.4 | 3.967 | 48 | 1 1 1 |
| 24.8 | 3.593 | 100 | 0 2 1 |
| 27.0 | 3.299 | 93 | 2 0 0 |
| 31.4 | 2.847 | 56 | 1 1 -2 |
| 34.1 | 2.632 | 46 | 1 3 0 |

Structure:
a = 6.618 Å, b = 8.610 Å, c = 6.539 Å
α = 90.00°, β = 94.41°, γ = 90.00°
Space group C2/c (No. 15)
Asymmetric unit:
Pa (0.000, 0.124, 0.250)
Zn (0.000, 0.500, 0.000)
B (0.000, 0.238, 0.750)
O (0.000, 0.364, 0.250)
O (0.062, 0.130, 0.920)
O (0.166, 0.344, 0.694)